Tb2S3: theoretical powder X-ray diffraction pattern (Cu Kα), based on a cell relaxed with GGA-PBE.
Intensities are scaled so that the largest is 100.

Structural model:
a b c (Å): 10.6945 3.8916 10.4893
angles (deg): 90.00 90.00 90.00
Fractional positions:
Tb1 0.0098 0.2500 0.1867
Tb2 0.1921 0.2500 0.5039
Tb3 0.3079 0.7500 0.0039
Tb4 0.4902 0.7500 0.6867
Tb5 0.5098 0.2500 0.3133
Tb6 0.6921 0.2500 0.9961
Tb7 0.8079 0.7500 0.4961
Tb8 0.9902 0.7500 0.8133
S1 0.0457 0.7500 0.3735
S2 0.1196 0.2500 0.9445
S3 0.2281 0.7500 0.6966
S4 0.2719 0.2500 0.1966
S5 0.3804 0.7500 0.4445
S6 0.4543 0.2500 0.8735
S7 0.5457 0.7500 0.1265
S8 0.6196 0.2500 0.5555
S9 0.7281 0.7500 0.8034
S10 0.7719 0.2500 0.3034
S11 0.8804 0.7500 0.0555
S12 0.9543 0.2500 0.6265

Peak list (10 most intense, 15° ≤ 2θ ≤ 90°, sorted by position)
- 2θ = 23.76°, I = 100
- 2θ = 24.40°, I = 45
- 2θ = 25.80°, I = 43
- 2θ = 26.41°, I = 55
- 2θ = 26.83°, I = 49
- 2θ = 29.78°, I = 48
- 2θ = 35.52°, I = 58
- 2θ = 38.27°, I = 49
- 2θ = 44.60°, I = 35
- 2θ = 46.68°, I = 35